# 1
For HfAg2NCl, a cell relaxed with PBE gives the theoretical powder diffractogram in this record (a wavelength of 1.5418 Å).
Intensities are scaled so that the largest is 100.

Most intense lines, 10° ≤ 2θ ≤ 90°, in order of falling intensity:
- 2.817 Å, I 100, (2 0 0)
- 3.939 Å, I 70, (0 0 1)
- 2.292 Å, I 68, (2 0 1)
- 5.635 Å, I 61, (1 0 0)
- 3.228 Å, I 55, (1 0 1)
- 1.992 Å, I 36, (2 2 0)
- 1.614 Å, I 35, (2 0 2)
- 2.123 Å, I 34, (2 1 1)
- 1.778 Å, I 31, (2 2 1)
- 1.401 Å, I 22, (2 2 2)

Lattice parameters (Å, degrees): 5.635 5.635 3.939 90.00 90.00 90.00
Atoms (fractional coordinates):
Hf 0.000 0.000 0.000
Ag 0.000 0.500 0.000
Ag 0.500 0.000 0.000
N 0.000 0.000 0.500
Cl 0.500 0.500 0.500



# 2
For AgHgCl, a cell relaxed with PBE gives the theoretical powder diffractogram in this record (a wavelength of 1.5418 Å).
Intensities are scaled so that the largest is 100.

Most intense lines, 10° ≤ 2θ ≤ 90°, in order of falling intensity:
- 2.928 Å, I 100, (1 1 1)
- 3.235 Å, I 83, (1 0 1)
- 2.975 Å, I 65, (0 2 1)
- 2.223 Å, I 61, (1 1 2)
- 6.883 Å, I 61, (0 1 0)
- 4.488 Å, I 48, (0 1 1)
- 1.973 Å, I 40, (1 3 0)
- 2.719 Å, I 35, (0 1 2)
- 2.570 Å, I 34, (1 2 0)
- 1.620 Å, I 25, (2 2 1)

Lattice parameters (Å, degrees): 3.863 6.883 5.918 90.00 90.00 90.00
Atoms (fractional coordinates):
Ag 0.000 0.209 0.000
Ag 0.500 0.791 0.500
Hg 0.000 0.584 0.776
Hg 0.500 0.416 0.276
Cl 0.000 0.879 0.213
Cl 0.500 0.121 0.713



# 3
For AgHg2Cl, a cell relaxed with PBE gives the theoretical powder diffractogram in this record (a wavelength of 1.5418 Å).
Intensities are scaled so that the largest is 100.

Most intense lines, 10° ≤ 2θ ≤ 90°, in order of falling intensity:
- 2.636 Å, I 100, (1 0 -4)
- 2.776 Å, I 92, (1 1 0)
- 3.024 Å, I 46, (1 0 3)
- 1.574 Å, I 43, (2 1 -4)
- 1.963 Å, I 34, (2 0 0)
- 3.784 Å, I 29, (1 0 -1)
- 1.228 Å, I 18, (3 0 -4)
- 1.646 Å, I 16, (2 1 3)
- 1.241 Å, I 15, (3 1 0)
- 3.437 Å, I 14, (1 0 2)

Lattice parameters (Å, degrees): 3.925 3.926 14.224 90.00 90.02 90.00
Atoms (fractional coordinates):
Ag 0.250 0.000 0.096
Ag 0.750 0.500 0.904
Hg 0.249 0.997 0.297
Hg 0.251 0.997 0.572
Hg 0.749 0.497 0.428
Hg 0.751 0.497 0.703
Cl 0.250 0.000 0.901
Cl 0.750 0.500 0.099



Repeat the first record exactly.
For HfAg2NCl, a cell relaxed with PBE gives the theoretical powder diffractogram in this record (a wavelength of 1.5418 Å).
Intensities are scaled so that the largest is 100.

Most intense lines, 10° ≤ 2θ ≤ 90°, in order of falling intensity:
- 2.817 Å, I 100, (2 0 0)
- 3.939 Å, I 70, (0 0 1)
- 2.292 Å, I 68, (2 0 1)
- 5.635 Å, I 61, (1 0 0)
- 3.228 Å, I 55, (1 0 1)
- 1.992 Å, I 36, (2 2 0)
- 1.614 Å, I 35, (2 0 2)
- 2.123 Å, I 34, (2 1 1)
- 1.778 Å, I 31, (2 2 1)
- 1.401 Å, I 22, (2 2 2)

Lattice parameters (Å, degrees): 5.635 5.635 3.939 90.00 90.00 90.00
Atoms (fractional coordinates):
Hf 0.000 0.000 0.000
Ag 0.000 0.500 0.000
Ag 0.500 0.000 0.000
N 0.000 0.000 0.500
Cl 0.500 0.500 0.500